(1)
Diffraction record for Na3Tm2SbO6. The PXRD pattern is computed, not measured: it uses a cell relaxed with PBE and CuKα.
Lines closer than 0.1° are merged.

The 12 most intense peaks (2θ = 10–90°), by intensity:
d_spacing, Rel. int.
5.578, 1000
2.406, 851
2.775, 602
2.898, 512
1.699, 282
1.705, 272
1.625, 217
2.789, 212
2.210, 207
1.451, 188
1.388, 136
1.855, 125

Crystal structure
```
12
Lattice="2.943 -5.095 0.000 2.943 5.095 0.000 -1.967 0.000 5.578" Properties=species:S:1:pos:R:3 pbc="T T T"
Na 0.000 0.000 0.000
Na 2.943 1.673 0.000
Na 2.943 -1.673 0.000
Tm 1.959 3.395 2.789
Tm 1.959 -3.395 2.789
Sb 1.959 0.000 2.789
O 0.945 1.756 1.605
O -0.072 0.000 3.981
O 0.945 -1.756 1.605
O 2.973 1.756 3.973
O 3.990 0.000 1.597
O 2.973 -1.756 3.973
```

---

(2)
Diffraction record for Na4Tm3SbO8. The PXRD pattern is computed, not measured: it uses a cell relaxed with PBE and CuKα.
Lines closer than 0.1° are merged.

The 12 most intense peaks (2θ = 10–90°), by intensity:
d_spacing, Rel. int.
5.574, 1000
2.403, 811
2.770, 582
2.892, 507
1.695, 269
1.703, 259
1.622, 213
2.787, 207
2.206, 202
1.853, 183
1.448, 182
1.385, 130

Crystal structure
```
16
Lattice="3.390 1.957 5.574 -3.390 1.957 5.574 0.000 -3.914 5.574" Properties=species:S:1:pos:R:3 pbc="T T T"
Na 0.000 0.000 0.000
Na -1.695 -0.979 5.574
Na -1.695 0.979 11.149
Na 0.000 1.957 5.574
Tm -3.390 0.000 8.362
Tm -1.695 0.979 2.787
Tm 1.695 0.979 2.787
Sb 0.000 0.000 8.362
O -1.743 -1.006 9.548
O 0.000 0.000 3.941
O 0.000 -2.012 7.175
O -1.743 1.006 7.175
O 1.743 -1.006 9.548
O 0.000 2.012 9.548
O 0.000 0.000 12.782
O 1.743 1.006 7.175
```